RbSnMoF6: computed powder X-ray diffraction pattern (λ = 1.5418 Å (Cu Kα)), based on a DFT-relaxed cell (PBE+U, Alexandria).
Lines closer than 0.1° are merged.

Atomic structure:
Cell lengths 7.8647, 7.8647, 7.8647 Å; angles 119.70, 119.66, 90.56 degrees
Element x y z (fractional)
Rb  0.3503  0.1003  0.2500
Rb  0.6497  0.8997  0.7500
Sn  0.0000  0.5000  0.5000
Sn  0.5000  0.5000  0.0000
Mo  0.0000  0.0000  0.5000
Mo  0.0000  0.5000  0.0000
F  0.0525  0.3410  0.1596
F  0.0525  0.8929  0.7114
F  0.0643  0.3143  0.7500
F  0.3185  0.1071  0.6596
F  0.3185  0.6590  0.2114
F  0.3630  0.6130  0.7500
F  0.6370  0.3870  0.2500
F  0.6815  0.3410  0.7886
F  0.6815  0.8929  0.3404
F  0.9357  0.6857  0.2500
F  0.9475  0.1071  0.2886
F  0.9475  0.6590  0.8404

Top 6 peaks for 2θ from 10° to 90°, low angle first:
d [Å]  Rel. int.
6.432  43
3.367  100
3.343  45
3.216  80
1.976  29
1.966  52